The following is a theoretical PXRD pattern of Pr3CrC3. It was derived from a PBE-relaxed structure, using a wavelength of 1.5418 Å.
Kinematic intensities with the Lorentz-polarization factor, no thermal factor.

Peak list (10 most intense, 2θ from 10° to 90°, in order of rising 2θ)
| 2θ (°) | intensity |
| --- | --- |
| 30.94 | 100.0 |
| 31.54 | 50.7 |
| 32.94 | 38.0 |
| 33.30 | 26.1 |
| 46.24 | 16.1 |
| 47.55 | 19.3 |
| 57.58 | 17.5 |
| 58.01 | 14.3 |
| 60.92 | 12.3 |
| 63.56 | 12.0 |

Atomic structure:
Lattice parameters (Å, degrees): 6.9593 6.9593 5.4381 90.00 90.00 101.28
Atoms (fractional coordinates):
Pr 0.1107 0.8893 0.7500
Pr 0.1759 0.4154 0.7500
Pr 0.4154 0.1759 0.2500
Pr 0.5846 0.8241 0.7500
Pr 0.8241 0.5846 0.2500
Pr 0.8893 0.1107 0.2500
Cr 0.3009 0.6991 0.2500
Cr 0.6991 0.3009 0.7500
C 0.1277 0.8723 0.2500
C 0.1829 0.4385 0.2500
C 0.4385 0.1829 0.7500
C 0.5615 0.8171 0.2500
C 0.8171 0.5615 0.7500
C 0.8723 0.1277 0.7500

---

The following is a theoretical PXRD pattern of PuMgSc2Hg4. It was derived from a PBE-relaxed structure, using a wavelength of 1.5418 Å.
Kinematic intensities with the Lorentz-polarization factor, no thermal factor.

Peak list (10 most intense, 2θ from 10° to 90°, in order of rising 2θ)
| 2θ (°) | intensity |
| --- | --- |
| 24.85 | 36.5 |
| 27.00 | 13.3 |
| 34.94 | 100.0 |
| 35.92 | 97.9 |
| 50.98 | 34.6 |
| 62.02 | 16.4 |
| 63.93 | 35.2 |
| 64.55 | 18.0 |
| 84.90 | 14.4 |
| 86.60 | 16.0 |

Atomic structure:
Lattice parameters (Å, degrees): 8.9811 8.9811 8.9811 32.33 32.33 32.33
Atoms (fractional coordinates):
Pu 0.0000 0.0000 0.0000
Mg 0.5000 0.5000 0.5000
Sc 0.2471 0.2471 0.2471
Sc 0.7529 0.7529 0.7529
Hg 0.1275 0.1275 0.1275
Hg 0.3821 0.3821 0.3821
Hg 0.6179 0.6179 0.6179
Hg 0.8725 0.8725 0.8725

---

> What is the formula in the first record?

Pr3CrC3